Starting from a crystal structure in Alexandria, relaxed with GGA-PBE, the powder diffraction line list of Mo2RuRh9 was computed for Cu Kα, 1.54184 Å.
No peak broadening, texture or thermal motion is included.

Structure:
```
Mo2RuRh9
1.0
4.730 0.000 0.000
0.775 6.050 0.000
0.780 0.506 6.040
Mo Ru Rh
2 1 9
Cartesian
1.566 0.769 2.465 Mo
4.718 5.787 3.576 Mo
0.777 3.278 3.020 Ru
0.792 5.115 1.060 Rh
1.570 2.569 0.515 Rh
2.343 4.957 4.475 Rh
2.365 0.000 0.000 Rh
3.140 2.326 4.023 Rh
3.144 4.230 2.018 Rh
3.941 1.599 1.565 Rh
4.714 3.987 5.525 Rh
5.492 1.441 4.981 Rh
```

Peak list (5 most intense, 5° ≤ 2θ ≤ 70°, low angle first)
hkl	2theta	Rel. int.
2 1 1	40.5	100
-2 1 1	47.0	32
1 3 0	47.1	16
3 2 -1	68.7	20
2 3 3	68.8	10

=====

Starting from a crystal structure in Alexandria, relaxed with GGA-PBE, the powder diffraction line list of Mo3RuRh4 was computed for Cu Kα, 1.54184 Å.
No peak broadening, texture or thermal motion is included.

Structure:
```
Mo3RuRh4
1.0
21.926 0.000 0.000
0.000 2.799 0.000
-0.825 0.000 4.206
Mo Ru Rh
6 2 8
Cartesian
0.000 0.000 0.000 Mo
4.543 0.000 0.896 Mo
5.595 1.400 3.310 Mo
10.963 1.400 0.000 Mo
15.506 1.400 0.896 Mo
16.558 0.000 3.310 Mo
-0.413 1.400 2.103 Ru
10.550 0.000 2.103 Ru
2.107 1.400 0.417 Rh
3.088 1.400 2.793 Rh
7.050 0.000 1.412 Rh
8.031 0.000 3.789 Rh
13.070 0.000 0.417 Rh
14.051 0.000 2.793 Rh
18.013 1.400 1.412 Rh
18.994 1.400 3.789 Rh
```

Peak list (12 most intense, 5° ≤ 2θ ≤ 70°, low angle first)
hkl	2theta	Rel. int.
0 0 1	21.1	15
6 0 0	24.8	18
1 1 0	32.2	28
6 0 1	35.9	27
8 0 -1	36.0	26
1 1 -1	38.4	71
10 0 0	42.0	89
2 0 -2	42.2	77
8 0 1	43.3	33
10 0 -1	43.4	33
5 1 1	46.3	100
0 2 0	66.8	19

=====

Starting from a crystal structure in Alexandria, relaxed with GGA-PBE, the powder diffraction line list of Mo2RuRh was computed for Cu Kα, 1.54184 Å.
No peak broadening, texture or thermal motion is included.

Structure:
```
Mo2RuRh
1.0
3.931 0.000 0.000
0.000 3.865 0.000
0.000 0.000 7.829
Mo Ru Rh
4 2 2
Cartesian
0.983 0.000 0.966 Mo
0.983 0.000 4.913 Mo
2.949 0.000 2.917 Mo
2.949 0.000 6.863 Mo
0.983 1.932 6.834 Ru
2.949 1.932 0.996 Ru
0.983 1.932 2.949 Rh
2.949 1.932 4.880 Rh
```

Peak list (7 most intense, 5° ≤ 2θ ≤ 70°, low angle first)
hkl	2theta	Rel. int.
1 1 2	40.0	100
2 0 0	46.2	16
0 0 4	46.4	16
0 2 0	47.0	16
2 0 4	67.5	10
2 2 0	68.0	10
0 2 4	68.2	10

=====

Starting from a crystal structure in Alexandria, relaxed with GGA-PBE, the powder diffraction line list of Sb2MoRh was computed for Cu Kα, 1.54184 Å.
No peak broadening, texture or thermal motion is included.

Structure:
```
Sb2MoRh
1.0
4.541 0.000 0.000
0.000 3.252 0.000
-2.260 0.000 5.092
Sb Mo Rh
2 1 1
Cartesian
0.000 0.000 0.000 Sb
1.140 1.626 2.546 Sb
-1.130 0.000 2.546 Mo
2.271 1.626 0.000 Rh
```

Peak list (11 most intense, 5° ≤ 2θ ≤ 70°, low angle first)
hkl	2theta	Rel. int.
1 0 -1	21.4	1
0 1 1	32.7	1
1 1 0	35.1	100
0 0 2	35.3	49
1 1 -2	43.4	54
2 0 0	43.6	54
0 2 0	56.6	12
1 1 2	57.0	24
0 2 2	68.5	14
2 0 2	69.1	20
2 0 -4	69.2	7